Structure and calculated powder diffractogram of Ni9Sn2S2 (a structure optimized by DFT (PBE); Cu Kα, 1.54184 Å).
No peak broadening, texture or thermal motion is included.

Largest 10 diffraction maxima, in order of rising 2θ, 10° ≤ 2θ ≤ 90°:
two_theta	intensity
29.92	16.9
40.54	100.0
43.29	15.3
45.01	74.0
49.02	58.6
67.43	15.6
71.84	17.8
73.41	17.4
85.88	37.6
88.93	20.3

Structure:
```
13
Lattice="-1.858 1.858 12.541 1.858 -1.858 12.541 1.858 1.858 -12.541" Properties=species:S:1:pos:R:3 pbc="T T T"
Ni 0.000 0.000 0.000
Ni 0.000 0.000 2.513
Ni 1.858 0.000 4.444
Ni 0.000 0.000 6.270
Ni 1.858 0.000 8.098
Ni 0.000 0.000 10.077
Ni 0.000 0.000 15.006
Ni 0.000 0.000 18.812
Ni 0.000 0.000 22.570
Sn 0.000 1.858 4.374
Sn 0.000 1.858 8.168
S 1.858 0.000 1.253
S 1.858 0.000 11.289
```